Entry 1:
Theoretical XRD peak list of Cu3H2O2F4 for CuKα, from a crystal structure in the Materials Project, relaxed with PBE.
Peak positions follow from Bragg's law for the DFT cell and can differ from measured ones.

The 10 most intense peaks (2θ from 10° to 90°), by intensity:
2θ 21.1, rel. 100, (0 1 1)
2θ 31.7, rel. 51, (1 1 1)
2θ 38.1, rel. 34, (2 1 -1)
2θ 33.0, rel. 27, (1 1 -3)
2θ 51.7, rel. 25, (1 2 2)
2θ 49.8, rel. 24, (2 2 -2)
2θ 24.3, rel. 23, (1 1 -1)
2θ 32.0, rel. 22, (2 0 -2)
2θ 36.5, rel. 21, (1 0 -4)
2θ 37.1, rel. 19, (0 2 0)

Structural model:
```
data_Cu3H2O2F4
_chemical_formula_sum 'Cu6 H4 O4 F8'
_symmetry_space_group_name_H-M 'P 1 21/c 1'
_symmetry_Int_Tables_number 14
_cell_length_a 5.607
_cell_length_b 4.850
_cell_length_c 9.881
_cell_angle_alpha 90.00
_cell_angle_beta 121.07
_cell_angle_gamma 90.00
loop_
_symmetry_equiv_pos_as_xyz
'x,y,z'
'-x,-y,-z'
'-x,y+1/2,-z+1/2'
'x,-y+1/2,z+1/2'
loop_
_atom_site_label
_atom_site_type_symbol
_atom_site_fract_x
_atom_site_fract_y
_atom_site_fract_z
Cu1 Cu 0.000 0.000 0.000
Cu2 Cu 0.337 0.039 0.826
H1 H 0.327 0.133 0.537
O1 O 0.324 0.169 0.011
F1 F 0.042 0.214 0.179
F2 F 0.326 0.642 0.150
```

***

Entry 2:
Theoretical XRD peak list of CuHOF for CuKα, from a crystal structure in the Materials Project, relaxed with PBE.
Peak positions follow from Bragg's law for the DFT cell and can differ from measured ones.

The 10 most intense peaks (2θ from 10° to 90°), by intensity:
2θ 19.2, rel. 100, (1 0 0)
2θ 34.4, rel. 65, (1 2 -1)
2θ 45.5, rel. 30, (2 2 -1)
2θ 36.6, rel. 23, (0 0 2)
2θ 48.6, rel. 16, (1 0 2)
2θ 33.2, rel. 15, (0 2 1)
2θ 58.9, rel. 14, (1 2 -3)
2θ 58.1, rel. 13, (2 2 1)
2θ 78.0, rel. 11, (1 4 2)
2θ 42.4, rel. 11, (1 2 1)

Structural model:
```
data_CuHOF
_chemical_formula_sum 'Cu4 H4 O4 F4'
_symmetry_space_group_name_H-M 'P 1 21/c 1'
_symmetry_Int_Tables_number 14
_cell_length_a 5.077
_cell_length_b 6.469
_cell_length_c 5.390
_cell_angle_alpha 90.00
_cell_angle_beta 114.34
_cell_angle_gamma 90.00
loop_
_symmetry_equiv_pos_as_xyz
'x,y,z'
'-x,-y,-z'
'-x,y+1/2,-z+1/2'
'x,-y+1/2,z+1/2'
loop_
_atom_site_label
_atom_site_type_symbol
_atom_site_fract_x
_atom_site_fract_y
_atom_site_fract_z
Cu1 Cu 0.012 0.120 0.241
H1 H 0.387 0.635 0.753
O1 O 0.169 0.640 0.664
F1 F 0.282 0.109 0.629
```

***

Entry 3:
Theoretical XRD peak list of ZrCuH8O4F6 for CuKα, from a crystal structure in the Materials Project, relaxed with PBE.
Peak positions follow from Bragg's law for the DFT cell and can differ from measured ones.

The 10 most intense peaks (2θ from 10° to 90°), by intensity:
2θ 19.7, rel. 100, (1 1 -1)
2θ 23.3, rel. 83, (1 1 1)
2θ 17.7, rel. 51, (0 2 0)
2θ 32.1, rel. 43, (1 3 -1)
2θ 23.8, rel. 30, (0 0 2)
2θ 39.9, rel. 25, (2 2 -2)
2θ 43.6, rel. 22, (1 1 3)
2θ 45.6, rel. 20, (1 3 -3)
2θ 51.3, rel. 18, (2 4 -2)
2θ 29.8, rel. 16, (0 2 2)

Structural model:
```
data_ZrCuH8O4F6
_chemical_formula_sum 'Zr2 Cu2 H16 O8 F12'
_symmetry_space_group_name_H-M 'P 1 21/c 1'
_symmetry_Int_Tables_number 14
_cell_length_a 5.802
_cell_length_b 10.032
_cell_length_c 7.634
_cell_angle_alpha 90.00
_cell_angle_beta 102.10
_cell_angle_gamma 90.00
loop_
_symmetry_equiv_pos_as_xyz
'x,y,z'
'-x,-y,-z'
'-x,y+1/2,-z+1/2'
'x,-y+1/2,z+1/2'
loop_
_atom_site_label
_atom_site_type_symbol
_atom_site_fract_x
_atom_site_fract_y
_atom_site_fract_z
Zr1 Zr 0.000 0.000 0.000
Cu1 Cu 0.500 0.000 0.500
H1 H 0.258 0.136 0.685
H2 H 0.258 0.210 0.499
H3 H 0.284 0.644 0.207
H4 H 0.286 0.721 0.026
O1 O 0.257 0.121 0.557
O2 O 0.375 0.657 0.112
F1 F 0.146 0.651 0.378
F2 F 0.212 0.136 0.907
F3 F 0.250 0.535 0.721
```

***

Entry 4:
Theoretical XRD peak list of KHfCuF7 for CuKα, from a crystal structure in the Materials Project, relaxed with PBE.
Peak positions follow from Bragg's law for the DFT cell and can differ from measured ones.

The 10 most intense peaks (2θ from 10° to 90°), by intensity:
2θ 20.9, rel. 100, (2 0 0)
2θ 29.8, rel. 79, (0 2 3)
2θ 12.5, rel. 73, (1 1 0)
2θ 27.7, rel. 70, (0 4 0)
2θ 26.6, rel. 64, (2 2 1)
2θ 17.5, rel. 53, (0 0 2)
2θ 27.4, rel. 51, (2 0 2)
2θ 36.7, rel. 43, (2 2 3)
2θ 52.8, rel. 41, (4 2 3)
2θ 16.3, rel. 38, (0 2 1)

Structural model:
```
data_KHfCuF7
_chemical_formula_sum 'K8 Hf8 Cu8 F56'
_symmetry_space_group_name_H-M 'C m c m'
_symmetry_Int_Tables_number 63
_symmetry_space_group_name_Hall '-C 2c 2'
_cell_length_a 8.497
_cell_length_b 12.885
_cell_length_c 10.157
_cell_angle_alpha 90.00
_cell_angle_beta 90.00
_cell_angle_gamma 90.00
loop_
_atom_site_label
_atom_site_type_symbol
_atom_site_fract_x
_atom_site_fract_y
_atom_site_fract_z
K1 K 0.239 0.102 0.250
Hf1 Hf 0.000 0.367 0.070
Cu1 Cu 0.000 0.136 0.571
F1 F 0.000 0.000 0.000
F2 F 0.000 0.080 0.750
F3 F 0.000 0.208 0.110
F4 F 0.000 0.280 0.614
F5 F 0.000 0.476 0.613
F6 F 0.137 0.365 0.250
F7 F 0.226 0.373 0.014
```

***

Entry 5:
Theoretical XRD peak list of K2CuI2F2 for CuKα, from a crystal structure in the Materials Project, relaxed with PBE.
Peak positions follow from Bragg's law for the DFT cell and can differ from measured ones.

The 10 most intense peaks (2θ from 10° to 90°), by intensity:
2θ 33.9, rel. 100, (2 0 0)
2θ 23.6, rel. 86, (0 0 2)
2θ 11.8, rel. 78, (0 0 1)
2θ 41.7, rel. 72, (2 0 2)
2θ 23.8, rel. 43, (1 1 0)
2θ 54.8, rel. 39, (2 2 2)
2θ 26.6, rel. 25, (1 1 1)
2θ 36.0, rel. 23, (2 0 1)
2θ 60.4, rel. 23, (2 0 4)
2θ 48.7, rel. 22, (2 2 0)

Structural model:
```
data_K2CuI2F2
_chemical_formula_sum 'K2 Cu1 I2 F2'
_symmetry_space_group_name_H-M 'P 4/m m m'
_symmetry_Int_Tables_number 123
_symmetry_space_group_name_Hall '-P 4 2'
_cell_length_a 5.291
_cell_length_b 5.291
_cell_length_c 7.525
_cell_angle_alpha 90.00
_cell_angle_beta 90.00
_cell_angle_gamma 90.00
loop_
_atom_site_label
_atom_site_type_symbol
_atom_site_fract_x
_atom_site_fract_y
_atom_site_fract_z
K1 K 0.000 0.500 0.000
Cu1 Cu 0.000 0.000 0.500
I1 I 0.000 0.500 0.500
F1 F 0.000 0.000 0.000
F2 F 0.500 0.500 0.000
```